Record 1
Structure and calculated PXRD pattern of ZnFe3 (a structure optimized by DFT (PBE); Cu Kα).

a b c (Å): 2.9491 4.0300 8.1649
angles (deg): 90.00 90.00 90.00
Space group Cmmm (No. 65)
Asymmetric unit:
Zn: 0.0000 0.0000 0.0000 x2
Fe: 0.0000 0.0000 0.5000 x2
Fe: 0.0000 0.5000 0.2573 x4

Peak list (8 most intense, 2θ = 10–90°, most intense first)
| 2theta | d/Å | Rel. int. | hkl |
| --- | --- | --- | --- |
| 44.04 | 2.056 | 100 | 1 1 2 |
| 44.38 | 2.041 | 24 | 0 0 4 |
| 44.99 | 2.015 | 24 | 0 2 0 |
| 65.04 | 1.434 | 14 | 0 2 4 |
| 82.34 | 1.171 | 14 | 1 3 2 |
| 81.47 | 1.181 | 14 | 1 1 6 |
| 63.04 | 1.475 | 8 | 2 0 0 |
| 80.76 | 1.190 | 7 | 2 2 0 |

***

Record 2
Structure and calculated PXRD pattern of MgCd3 (a structure optimized by DFT (PBE); Cu Kα).

a b c (Å): 4.5497 4.5497 8.5573
angles (deg): 90.00 90.00 90.00
Space group I4/mmm (No. 139)
Asymmetric unit:
Mg: 0.0000 0.0000 0.0000 x2
Cd: 0.0000 0.0000 0.5000 x2
Cd: 0.0000 0.5000 0.2500 x4

Peak list (8 most intense, 2θ = 10–90°, most intense first)
| 2theta | d/Å | Rel. int. | hkl |
| --- | --- | --- | --- |
| 34.89 | 2.571 | 100 | 1 1 2 |
| 39.62 | 2.275 | 35 | 2 0 0 |
| 68.85 | 1.364 | 25 | 3 1 2 |
| 59.30 | 1.558 | 20 | 2 0 4 |
| 22.13 | 4.017 | 18 | 1 0 1 |
| 42.24 | 2.139 | 14 | 0 0 4 |
| 57.27 | 1.609 | 11 | 2 2 0 |
| 72.49 | 1.304 | 11 | 1 1 6 |

***

Record 3
Structure and calculated PXRD pattern of Mg2BiN3 (a structure optimized by DFT (PBE); Cu Kα).

a b c (Å): 10.5675 6.0561 5.5999
angles (deg): 90.00 90.00 90.00
Space group Cmc2_1 (No. 36)
Asymmetric unit:
Mg: 0.1718 0.1633 0.0000 x8
Bi: 0.0000 0.3178 0.4919 x4
N: 0.0000 0.3303 0.8876 x4
N: 0.1690 0.1645 0.3768 x8

Peak list (8 most intense, 2θ = 10–90°, most intense first)
| 2theta | d/Å | Rel. int. | hkl |
| --- | --- | --- | --- |
| 23.21 | 3.832 | 100 | 1 1 1 |
| 16.80 | 5.276 | 78 | 2 0 0 |
| 33.50 | 2.675 | 63 | 3 1 1 |
| 31.96 | 2.800 | 30 | 0 0 2 |
| 57.98 | 1.591 | 26 | 3 1 3 |
| 36.32 | 2.473 | 26 | 2 0 2 |
| 33.65 | 2.664 | 22 | 0 2 1 |
| 51.96 | 1.760 | 21 | 6 0 0 |

***

Record 4
Structure and calculated PXRD pattern of Rb3NaH4 (a structure optimized by DFT (PBE); Cu Kα).

a b c (Å): 5.8440 5.8440 5.8440
angles (deg): 90.00 90.00 90.00
Space group Pm-3m (No. 221)
Asymmetric unit:
Rb: 0.0000 0.0000 0.5000 x3
Na: 0.5000 0.5000 0.5000 x1
H: 0.0000 0.0000 0.0000 x1
H: 0.0000 0.5000 0.5000 x3

Peak list (8 most intense, 2θ = 10–90°, most intense first)
| 2theta | d/Å | Rel. int. | hkl |
| --- | --- | --- | --- |
| 26.42 | 3.374 | 100 | 1 1 1 |
| 30.60 | 2.922 | 56 | 2 0 0 |
| 51.89 | 1.762 | 45 | 3 1 1 |
| 43.82 | 2.066 | 40 | 2 2 0 |
| 70.20 | 1.341 | 18 | 3 3 1 |
| 72.31 | 1.307 | 17 | 4 2 0 |
| 86.54 | 1.125 | 14 | 5 1 1 |
| 54.38 | 1.687 | 14 | 2 2 2 |

***

Record 5
Structure and calculated PXRD pattern of Li4Bi2C4SO16 (a structure optimized by DFT (PBE); Cu Kα).

a b c (Å): 13.1984 13.9244 15.1697
angles (deg): 90.00 90.00 90.00
Space group Fddd (No. 70, origin choice 2)
Asymmetric unit:
Li: 0.0729 0.3750 0.3750 x16
Li: 0.1250 0.3149 0.1250 x16
Bi: 0.0000 0.0000 0.5000 x16
C: 0.0136 0.0208 0.7153 x32
S: 0.1250 0.1250 0.1250 x8
O: 0.0115 0.0816 0.7806 x32
O: 0.0483 0.2798 0.8998 x32
O: 0.0579 0.0612 0.0713 x32
O: 0.0812 0.2975 0.5341 x32

Peak list (8 most intense, 2θ = 10–90°, most intense first)
| 2theta | d/Å | Rel. int. | hkl |
| --- | --- | --- | --- |
| 21.96 | 4.047 | 100 | 2 2 2 |
| 10.92 | 8.099 | 97 | 1 1 1 |
| 19.85 | 4.472 | 45 | 1 1 3 |
| 21.12 | 4.207 | 39 | 1 3 1 |
| 36.06 | 2.491 | 35 | 4 0 4 |
| 27.01 | 3.301 | 25 | 4 0 0 |
| 23.46 | 3.792 | 23 | 0 0 4 |
| 25.59 | 3.481 | 22 | 0 4 0 |

***

Record 6
Structure and calculated PXRD pattern of NdTiCdSbO7 (a structure optimized by DFT (PBE); Cu Kα).

a b c (Å): 7.3641 7.3641 10.4672
angles (deg): 90.00 90.00 90.00
Space group P4_122 (No. 91)
Asymmetric unit:
Nd: 0.0000 0.2639 0.0000 x4
Ti: 0.0000 0.2384 0.5000 x4
Cd: 0.2642 0.5000 0.7500 x4
Sb: 0.2441 0.5000 0.2500 x4
O: 0.0474 0.0474 0.3750 x4
O: 0.0544 0.4448 0.3806 x8
O: 0.2359 0.2496 0.1783 x8
O: 0.2607 0.2607 0.8750 x4
O: 0.4485 0.4485 0.3750 x4

Peak list (8 most intense, 2θ = 10–90°, most intense first)
| 2theta | d/Å | Rel. int. | hkl |
| --- | --- | --- | --- |
| 29.67 | 3.011 | 100 | 2 0 2 |
| 49.38 | 1.846 | 30 | 2 2 4 |
| 58.79 | 1.571 | 26 | 4 2 2 |
| 34.45 | 2.604 | 20 | 2 2 0 |
| 49.51 | 1.841 | 15 | 4 0 0 |
| 58.55 | 1.577 | 14 | 2 0 6 |
| 34.27 | 2.617 | 11 | 0 0 4 |
| 80.15 | 1.197 | 11 | 4 2 6 |

***

Record 7
Structure and calculated PXRD pattern of Na3P3N3O7 (a structure optimized by DFT (PBE); Cu Kα).

a b c (Å): 10.1626 12.2035 7.7424
angles (deg): 90.00 107.62 90.00
Space group C2 (No. 5)
Asymmetric unit:
Na: 0.0000 0.0000 0.0000 x2
Na: 0.0000 0.3331 0.0000 x2
Na: 0.1346 0.1747 0.3772 x4
Na: 0.2144 0.4594 0.4219 x4
P: 0.1351 0.5484 0.8061 x4
P: 0.1422 0.7889 0.8253 x4
P: 0.2275 0.1596 0.8486 x4
N: 0.0759 0.6714 0.7278 x4
N: 0.2054 0.7757 0.0505 x4
N: 0.2087 0.5485 0.0297 x4
O: 0.0000 0.3208 0.5000 x2
O: 0.0000 0.9932 0.5000 x2
O: 0.0185 0.4647 0.7633 x4
O: 0.0331 0.8776 0.7836 x4
O: 0.0752 0.1642 0.8431 x4
O: 0.2298 0.3085 0.2369 x4
O: 0.2440 0.6473 0.3311 x4
O: 0.2463 0.0286 0.2734 x4

Peak list (8 most intense, 2θ = 10–90°, most intense first)
| 2theta | d/Å | Rel. int. | hkl |
| --- | --- | --- | --- |
| 31.97 | 2.799 | 100 | 1 3 -2 |
| 18.64 | 4.761 | 84 | 2 0 -1 |
| 27.58 | 3.234 | 69 | 3 1 -1 |
| 11.99 | 7.379 | 61 | 0 0 1 |
| 27.92 | 3.196 | 54 | 1 3 1 |
| 25.35 | 3.514 | 45 | 1 3 -1 |
| 23.45 | 3.793 | 43 | 2 2 0 |
| 35.51 | 2.528 | 43 | 3 3 0 |

***

Record 8
Structure and calculated PXRD pattern of Hf2MoIr (a structure optimized by DFT (PBE); Cu Kα).

a b c (Å): 6.5667 6.5667 6.5667
angles (deg): 90.00 90.00 90.00
Space group Fm-3m (No. 225)
Asymmetric unit:
Hf: 0.2500 0.2500 0.2500 x8
Mo: 0.0000 0.0000 0.0000 x4
Ir: 0.0000 0.0000 0.5000 x4

Peak list (8 most intense, 2θ = 10–90°, most intense first)
| 2theta | d/Å | Rel. int. | hkl |
| --- | --- | --- | --- |
| 38.79 | 2.322 | 100 | 2 2 0 |
| 70.22 | 1.340 | 35 | 4 2 2 |
| 56.02 | 1.642 | 17 | 4 0 0 |
| 83.23 | 1.161 | 11 | 4 4 0 |
| 23.46 | 3.791 | 5 | 1 1 1 |
| 45.83 | 1.980 | 3 | 3 1 1 |
| 27.16 | 3.283 | 1 | 2 0 0 |
| 61.56 | 1.507 | 1 | 3 3 1 |